Starting from the PBE+U geometry in Alexandria, the powder XRD pattern of Li7FeO4F2 was calculated for Cu Kα (λ = 1.5418 Å).
Kinematic intensities with the Lorentz-polarization factor, no thermal factor.

Main lines, most intense first (10 to 80 degrees two-theta):
(1 -1 1), 2θ 19.82, I 100
(-1 1 3), 2θ 35.48, I 98
(0 1 0), 2θ 17.51, I 92
(2 0 0), 2θ 37.03, I 87
(1 0 -1), 2θ 19.18, I 76
(1 -2 3), 2θ 37.98, I 75

Structure:
```
Li7FeO4F2
1.0
5.5440 0.0000 0.0000
-2.7249 5.2465 0.0000
-0.4255 -2.5205 9.3669
Li Fe O F
14 2 8 4
direct
0.0000 0.0000 0.0000
0.0011 0.9478 0.3187
0.0092 0.9826 0.6909
0.1672 0.5922 0.2880
0.2931 0.2635 0.5511
0.3347 0.2619 0.2113
0.4676 0.9450 0.5337
0.5245 0.9689 0.2080
0.5269 0.0393 0.8466
0.5722 0.5981 0.8074
0.6221 0.5829 0.0676
0.7916 0.2579 0.0759
0.8127 0.2292 0.4192
0.9130 0.4579 0.7258
0.1656 0.6344 0.9962
0.7254 0.6125 0.4377
0.0983 0.8783 0.4979
0.1370 0.8769 0.1516
0.1945 0.3859 0.0839
0.5746 0.8565 0.9943
0.6092 0.8371 0.3614
0.6689 0.3844 0.5631
0.7186 0.3694 0.2643
0.7721 0.4238 0.9129
0.1262 0.8665 0.8316
0.1791 0.3265 0.3847
0.1922 0.3596 0.7284
0.6306 0.8763 0.6879
```